Structure and simulated X-ray diffraction stick pattern of Sm2CrFe16C2 (a structure optimized by DFT (PBE); Cu Kα (λ = 1.5418 Å)).
Peak positions follow from Bragg's law for the DFT cell and can differ from measured ones.

The 8 most intense peaks (2θ = 5–70°), by angle:
h k l  2θ/deg  intensity
1 1 -2  29.83  49
1 3 1  36.03  45
4 0 0  37.56  38
0 4 0  41.85  84
0 0 3  42.27  100
4 0 1  42.31  18
4 0 -2  43.54  44
4 2 1  47.46  22

Structure:
Lattice parameters (Å, degrees): 9.684 8.632 6.501 90.00 98.90 90.00
Space group Cm (No. 8)
Asymmetric unit:
1 Sm 0.000 0.000 0.000
2 Sm 0.205 0.500 0.328
3 Cr 0.443 0.000 0.574
4 Fe 0.008 0.000 0.525
5 Fe 0.099 0.252 0.667
6 Fe 0.190 0.500 0.813
7 Fe 0.204 0.142 0.382
8 Fe 0.249 0.245 0.006
9 Fe 0.257 0.000 0.759
10 Fe 0.348 0.000 0.169
11 Fe 0.348 0.281 0.666
12 Fe 0.448 0.244 0.327
13 Fe 0.491 0.141 0.956
14 C 0.099 0.250 0.167